Starting from a cell relaxed with GGA-PBE, the X-ray powder pattern of Nd12SnRh6 was computed for Cu Kα (weighted mean of Kα1 and Kα2).
No peak broadening, texture or thermal motion is included.

Top 6 peaks for 10° ≤ 2θ ≤ 80°, by angle:
d [Å]  I/Imax
3.229  164
2.948  239
2.729  1000
2.003  242
1.751  210
1.657  279

Crystal structure
```
data_Nd12SnRh6
_symmetry_space_group_name_H-M 'P 1'
_symmetry_Int_Tables_number 1
_cell_length_a 8.8439
_cell_length_b 8.8439
_cell_length_c 8.8439
_cell_angle_alpha 109.47
_cell_angle_beta 109.47
_cell_angle_gamma 109.47
loop_
_symmetry_equiv_pos_as_xyz
'x,y,z'
loop_
_atom_site_label
_atom_site_type_symbol
_atom_site_fract_x
_atom_site_fract_y
_atom_site_fract_z
Nd1 Nd 0.1193 0.3046 0.8147
Nd2 Nd 0.1853 0.4899 0.3046
Nd3 Nd 0.1853 0.8807 0.6954
Nd4 Nd 0.3046 0.1853 0.4899
Nd5 Nd 0.3046 0.8147 0.1193
Nd6 Nd 0.4899 0.3046 0.1853
Nd7 Nd 0.5101 0.6954 0.8147
Nd8 Nd 0.6954 0.1853 0.8807
Nd9 Nd 0.6954 0.8147 0.5101
Nd10 Nd 0.8147 0.1193 0.3046
Nd11 Nd 0.8147 0.5101 0.6954
Nd12 Nd 0.8807 0.6954 0.1853
Sn1 Sn 0.0000 0.0000 0.0000
Rh1 Rh 0.1313 0.5000 0.6313
Rh2 Rh 0.3687 0.8687 0.5000
Rh3 Rh 0.5000 0.3687 0.8687
Rh4 Rh 0.5000 0.6313 0.1313
Rh5 Rh 0.6313 0.1313 0.5000
Rh6 Rh 0.8687 0.5000 0.3687
```